Starting from a GGA-PBE-relaxed structure, the XRD peak list of Rb4Mg3H10 was computed for Cu Kα X-rays.

Cell and atoms:
abc: 15.533 15.533 15.533
angles: 164.76 164.76 21.62
Fractional coordinates of all 17 atoms:
1 Rb 0.067 0.067 0.000
2 Rb 0.201 0.201 0.000
3 Rb 0.799 0.799 0.000
4 Rb 0.933 0.933 0.000
5 Mg 0.366 0.366 0.000
6 Mg 0.500 0.500 0.000
7 Mg 0.634 0.634 0.000
8 H 0.000 0.500 0.500
9 H 0.134 0.634 0.500
10 H 0.300 0.300 0.000
11 H 0.366 0.866 0.500
12 H 0.433 0.433 0.000
13 H 0.500 0.000 0.500
14 H 0.567 0.567 0.000
15 H 0.634 0.134 0.500
16 H 0.700 0.700 0.000
17 H 0.866 0.366 0.500

Most intense lines, 5° ≤ 2θ ≤ 70°, by intensity:
2θ 29.84, I = 100
2θ 30.69, I = 56
2θ 54.03, I = 37
2θ 21.77, I = 32
2θ 23.31, I = 22
2θ 43.96, I = 22
2θ 38.90, I = 20
2θ 52.43, I = 11
2θ 50.00, I = 11
2θ 50.34, I = 10

Starting from a GGA-PBE-relaxed structure, the XRD peak list of Rb2Mg3H8 was computed for Cu Kα X-rays.

Cell and atoms:
abc: 7.182 7.182 5.266
angles: 107.47 107.47 51.71
Fractional coordinates of all 13 atoms:
1 Rb 0.219 0.219 0.169
2 Rb 0.781 0.781 0.831
3 Mg 0.242 0.758 0.500
4 Mg 0.500 0.500 0.000
5 Mg 0.758 0.242 0.500
6 H 0.098 0.098 0.495
7 H 0.208 0.628 0.124
8 H 0.372 0.792 0.876
9 H 0.415 0.415 0.595
10 H 0.585 0.585 0.405
11 H 0.628 0.208 0.124
12 H 0.792 0.372 0.876
13 H 0.902 0.902 0.505

Most intense lines, 5° ≤ 2θ ≤ 70°, by intensity:
2θ 27.28, I = 100
2θ 25.80, I = 75
2θ 22.09, I = 75
2θ 32.14, I = 56
2θ 26.15, I = 39
2θ 29.32, I = 39
2θ 26.68, I = 33
2θ 33.84, I = 32
2θ 34.16, I = 30
2θ 42.05, I = 28

Starting from a GGA-PBE-relaxed structure, the XRD peak list of Rb4Mg3H10 was computed for Cu Kα X-rays.

Cell and atoms:
abc: 7.648 7.648 13.415
angles: 90.00 90.00 133.84
Fractional coordinates of all 34 atoms:
1 Rb 0.040 0.960 0.860
2 Rb 0.242 0.758 0.606
3 Rb 0.258 0.742 0.106
4 Rb 0.460 0.540 0.360
5 Rb 0.540 0.460 0.640
6 Rb 0.742 0.258 0.894
7 Rb 0.758 0.242 0.394
8 Rb 0.960 0.040 0.140
9 Mg 0.000 0.000 0.500
10 Mg 0.124 0.876 0.344
11 Mg 0.376 0.624 0.844
12 Mg 0.500 0.500 0.000
13 Mg 0.624 0.376 0.156
14 Mg 0.876 0.124 0.656
15 H 0.026 0.974 0.645
16 H 0.116 0.315 0.538
17 H 0.137 0.363 0.750
18 H 0.185 0.384 0.962
19 H 0.242 0.758 0.853
20 H 0.258 0.742 0.353
21 H 0.315 0.116 0.462
22 H 0.363 0.137 0.250
23 H 0.384 0.185 0.038
24 H 0.474 0.526 0.145
25 H 0.526 0.474 0.855
26 H 0.616 0.815 0.962
27 H 0.637 0.863 0.750
28 H 0.685 0.884 0.538
29 H 0.742 0.258 0.647
30 H 0.758 0.242 0.147
31 H 0.815 0.616 0.038
32 H 0.863 0.637 0.250
33 H 0.884 0.685 0.462
34 H 0.974 0.026 0.355

Most intense lines, 5° ≤ 2θ ≤ 70°, by intensity:
2θ 27.56, I = 100
2θ 29.80, I = 37
2θ 26.58, I = 29
2θ 49.76, I = 24
2θ 31.41, I = 23
2θ 25.64, I = 21
2θ 40.35, I = 20
2θ 25.32, I = 17
2θ 51.53, I = 17
2θ 20.85, I = 15